[1]
Diffraction record for Li3Ag2Sn3. The X-ray diffraction stick pattern is calculated, not measured: it uses a cell relaxed with GGA-PBE and λ = 1.5418 Å (Cu Kα).

Top 10 peaks for 15 to 90 degrees two-theta, by angle:
d_spacing  I_rel
4.226  79
3.444  33
3.418  36
2.485  100
2.472  98
2.186  71
2.074  28
1.546  24
1.504  28
1.310  27

Atomic structure:
```
data_Li3Ag2Sn3
_chemical_formula_sum 'Li6 Ag4 Sn6'
_cell_length_a 17.123
_cell_length_b 4.370
_cell_length_c 4.374
_cell_angle_alpha 90.00
_cell_angle_beta 104.35
_cell_angle_gamma 90.00
_symmetry_space_group_name_H-M 'C 1 2/m 1'
_symmetry_Int_Tables_number 12
loop_
_symmetry_equiv_pos_as_xyz
'x,y,z'
'-x,-y,-z'
'-x,y,-z'
'x,-y,z'
'x+1/2,y+1/2,z'
'-x+1/2,-y+1/2,-z'
'-x+1/2,y+1/2,-z'
'x+1/2,-y+1/2,z'
loop_
_atom_site_label
_atom_site_fract_x
_atom_site_fract_y
_atom_site_fract_z
_atom_site_occupancy
Li1 0.000 0.000 0.000 1
Li2 0.133 0.000 0.634 1
Ag1 0.247 0.000 0.249 1
Sn1 0.000 0.500 0.500 1
Sn2 0.134 0.500 0.133 1
```



[2]
Diffraction record for Li5AgSn2. The X-ray diffraction stick pattern is calculated, not measured: it uses a cell relaxed with GGA-PBE and λ = 1.5418 Å (Cu Kα).

Top 10 peaks for 15 to 90 degrees two-theta, by angle:
d_spacing  I_rel
4.679  49
4.626  30
3.347  53
3.271  100
2.683  18
2.343  51
2.336  51
2.317  25
2.309  24
1.905  33

Atomic structure:
```
data_Li5AgSn2
_chemical_formula_sum 'Li10 Ag2 Sn4'
_cell_length_a 6.695
_cell_length_b 9.266
_cell_length_c 5.694
_cell_angle_alpha 90.00
_cell_angle_beta 125.79
_cell_angle_gamma 90.00
_symmetry_space_group_name_H-M 'C 1 m 1'
_symmetry_Int_Tables_number 8
loop_
_symmetry_equiv_pos_as_xyz
'x,y,z'
'x,-y,z'
'x+1/2,y+1/2,z'
'x+1/2,-y+1/2,z'
loop_
_atom_site_label
_atom_site_fract_x
_atom_site_fract_y
_atom_site_fract_z
_atom_site_occupancy
Li1 0.000 0.000 0.000 1
Li2 0.001 0.500 0.003 1
Li3 0.003 0.000 0.501 1
Li4 0.250 0.251 0.501 1
Ag1 0.499 0.000 0.501 1
Sn1 0.250 0.250 0.001 1
```